1.
Diffraction record for Ba7BrClF12. The powder diffractogram is simulated, not measured: it uses a DFT-relaxed cell (GGA-PBE, the Materials Project) and copper Kα.
Intensities are scaled so that the largest is 100.

Structure:
abc: 10.8058 10.8058 4.2495
angles: 90.00 90.00 120.00
Positions (direct):
Ba 0.0000 0.0000 0.0000
Ba 0.1083 0.7117 0.5000
Ba 0.2883 0.3966 0.5000
Ba 0.4101 0.1073 0.0000
Ba 0.6034 0.8917 0.5000
Ba 0.6971 0.5899 0.0000
Ba 0.8927 0.3029 0.0000
Br 0.3333 0.6667 0.0000
Cl 0.6667 0.3333 0.5000
F 0.0488 0.4368 0.5000
F 0.1216 0.2745 0.0000
F 0.1529 0.8784 0.0000
F 0.2181 0.1173 0.5000
F 0.3880 0.9512 0.5000
F 0.4313 0.3677 0.0000
F 0.5632 0.6120 0.5000
F 0.6323 0.0637 0.0000
F 0.7255 0.8471 0.0000
F 0.8827 0.1008 0.5000
F 0.8992 0.7819 0.5000
F 0.9363 0.5687 0.0000

The 6 most intense peaks (2θ from 10° to 90°), in order of rising 2θ:
2θ/deg, d (Å), I (rel.)
25.2, 3.537, 100
26.7, 3.340, 65
28.4, 3.146, 50
32.9, 2.719, 55
40.7, 2.215, 36
47.4, 1.916, 40

2.
Diffraction record for Ba6Br2N3Cl. The powder diffractogram is simulated, not measured: it uses a DFT-relaxed cell (GGA-PBE, the Materials Project) and copper Kα.
Intensities are scaled so that the largest is 100.

Structure:
abc: 11.0742 11.0742 8.2649
angles: 106.69 106.69 21.79
Positions (direct):
Ba 0.0760 0.0760 0.1883
Ba 0.2571 0.2571 0.8134
Ba 0.4106 0.4106 0.1898
Ba 0.5894 0.5894 0.8102
Ba 0.7429 0.7429 0.1866
Ba 0.9240 0.9240 0.8117
Br 0.3334 0.3334 0.5000
Br 0.6666 0.6666 0.5000
N 0.1665 0.1665 0.9999
N 0.5000 0.5000 0.0000
N 0.8335 0.8335 0.0001
Cl 0.0000 0.0000 0.5000

The 6 most intense peaks (2θ from 10° to 90°), in order of rising 2θ:
2θ/deg, d (Å), I (rel.)
25.7, 3.466, 41
28.9, 3.092, 100
31.1, 2.880, 38
39.3, 2.294, 21
43.2, 2.093, 40
56.1, 1.639, 28

3.
Diffraction record for Ba6Br2N3Cl. The powder diffractogram is simulated, not measured: it uses a DFT-relaxed cell (GGA-PBE, the Materials Project) and copper Kα.
Intensities are scaled so that the largest is 100.

Structure:
abc: 4.1686 4.1686 23.5996
angles: 90.00 90.00 120.00
Positions (direct):
Ba 0.0000 0.0000 0.2282
Ba 0.0000 0.0000 0.7718
Ba 0.3333 0.6667 0.4379
Ba 0.3333 0.6667 0.8976
Ba 0.6667 0.3333 0.1024
Ba 0.6667 0.3333 0.5621
Br 0.3333 0.6667 0.6667
Br 0.6667 0.3333 0.3333
N 0.0000 0.0000 0.5000
N 0.3333 0.6667 0.1657
N 0.6667 0.3333 0.8343
Cl 0.0000 0.0000 0.0000

The 6 most intense peaks (2θ from 10° to 90°), in order of rising 2θ:
2θ/deg, d (Å), I (rel.)
25.8, 3.452, 41
29.0, 3.079, 100
31.2, 2.868, 39
39.4, 2.284, 20
43.4, 2.084, 40
56.4, 1.632, 27

4.
Diffraction record for Ba6Br2N3Cl. The powder diffractogram is simulated, not measured: it uses a DFT-relaxed cell (GGA-PBE, the Materials Project) and copper Kα.
Intensities are scaled so that the largest is 100.

Structure:
abc: 10.1509 10.1509 9.2464
angles: 110.54 110.54 23.80
Positions (direct):
Ba 0.0138 0.0138 0.2177
Ba 0.3202 0.3202 0.4518
Ba 0.3473 0.3473 0.8817
Ba 0.6527 0.6527 0.1183
Ba 0.6798 0.6798 0.5482
Ba 0.9862 0.9862 0.7823
Br 0.1666 0.1666 0.8333
Br 0.8334 0.8334 0.1667
N 0.1667 0.1667 0.3334
N 0.5000 0.5000 0.0000
N 0.8333 0.8333 0.6666
Cl 0.5000 0.5000 0.5000

The 6 most intense peaks (2θ from 10° to 90°), in order of rising 2θ:
2θ/deg, d (Å), I (rel.)
25.7, 3.466, 41
28.9, 3.091, 100
31.1, 2.877, 38
34.1, 2.628, 19
43.2, 2.093, 40
56.2, 1.637, 27